(1)
Simulated X-ray diffraction stick pattern of Al3BC3 for a wavelength of 1.5418 Å, from DFT lattice parameters and positions (PBE).
No peak broadening, texture or thermal motion is included.

Cell and atoms:
```
42
Lattice="5.9311 0.0000 0.0000 -2.9656 5.1365 0.0000 0.0000 0.0000 15.9502" Properties=species:S:1:pos:R:3 pbc="T T T"
Al 0.0000 0.0000 2.2972
Al 0.0000 0.0000 10.2723
Al -0.9495 1.6445 0.0000
Al -1.0301 1.7842 4.0666
Al -1.9354 3.3522 12.0417
Al -2.0161 3.4920 7.9751
Al 1.8989 0.0000 0.0000
Al 0.9495 1.6445 7.9751
Al 0.0000 3.4243 1.8488
Al 0.0000 3.4243 9.8239
Al 2.0603 0.0000 4.0666
Al 1.0301 1.7842 12.0417
Al 3.8708 0.0000 12.0417
Al 1.9354 3.3522 4.0666
Al 2.9656 1.7122 1.8488
Al 2.9656 1.7122 9.8239
Al 4.0322 0.0000 7.9751
Al 2.0161 3.4920 0.0000
B 0.0000 0.0000 5.8651
B 0.0000 0.0000 13.8402
B 0.0000 3.4243 6.1156
B 0.0000 3.4243 14.0908
B 2.9656 1.7122 6.1156
B 2.9656 1.7122 14.0908
C 0.0000 0.0000 4.4334
C 0.0000 0.0000 7.3110
C 0.0000 0.0000 12.4085
C 0.0000 0.0000 15.2861
C -0.9878 1.7109 2.0322
C -1.9778 3.4256 10.0073
C 1.9756 0.0000 2.0322
C 0.9878 1.7109 10.0073
C 0.0000 3.4243 4.6741
C 0.0000 3.4243 7.5586
C 0.0000 3.4243 12.6492
C 0.0000 3.4243 15.5337
C 3.9556 0.0000 10.0073
C 2.9656 1.7122 4.6741
C 2.9656 1.7122 7.5586
C 2.9656 1.7122 12.6492
C 2.9656 1.7122 15.5337
C 1.9778 3.4256 2.0322
```

Principal peaks in the range 2θ from 10° to 90°, by intensity:
| 2theta | I_rel |
| --- | --- |
| 30.66 | 100 |
| 53.52 | 71 |
| 37.81 | 55 |
| 11.09 | 35 |
| 72.81 | 32 |
| 50.51 | 26 |
| 34.63 | 25 |
| 45.49 | 23 |
| 30.14 | 19 |
| 33.72 | 19 |

***

(2)
Simulated X-ray diffraction stick pattern of CuPdPb4 for a wavelength of 1.5418 Å, from DFT lattice parameters and positions (PBE).
No peak broadening, texture or thermal motion is included.

Cell and atoms:
```
12
Lattice="-3.4573 3.4573 6.1803 3.4573 -3.4573 6.1803 3.4573 3.4573 -6.1803" Properties=species:S:1:pos:R:3 pbc="T T T"
Cu 0.0000 0.0000 3.0901
Cu 0.0000 0.0000 9.2704
Pd 0.0000 0.0000 0.0000
Pd 0.0000 0.0000 6.1803
Pb 4.6191 1.1618 -1.6166
Pb 1.1618 2.2954 -1.6166
Pb 4.6191 1.1618 1.6166
Pb 1.1618 2.2954 1.6166
Pb 2.2954 1.1618 4.5637
Pb -1.1618 2.2954 4.5637
Pb 2.2954 1.1618 7.7969
Pb -1.1618 2.2954 7.7969
```

Principal peaks in the range 2θ from 10° to 90°, by intensity:
| 2theta | I_rel |
| --- | --- |
| 29.78 | 100 |
| 36.32 | 79 |
| 39.10 | 50 |
| 41.29 | 41 |
| 64.66 | 32 |
| 28.89 | 31 |
| 34.33 | 28 |
| 60.36 | 23 |
| 59.51 | 21 |
| 47.06 | 20 |

***

(3)
Simulated X-ray diffraction stick pattern of NbTeH2PdI for a wavelength of 1.5418 Å, from DFT lattice parameters and positions (PBE).
No peak broadening, texture or thermal motion is included.

Cell and atoms:
```
6
Lattice="3.4730 0.0000 0.0000 0.0000 2.1938 8.2827 0.0000 -2.1938 8.2827" Properties=species:S:1:pos:R:3 pbc="T T T"
Nb 0.0000 0.0000 0.0000
Te 1.7365 0.0000 14.2755
H 0.0000 0.0000 8.2346
H 1.7365 0.0000 0.6936
Pd 1.7365 0.0000 7.5377
I 0.0000 0.0000 2.7492
```

Principal peaks in the range 2θ from 10° to 90°, by intensity:
| 2theta | I_rel |
| --- | --- |
| 42.99 | 100 |
| 27.86 | 88 |
| 10.68 | 83 |
| 33.34 | 80 |
| 25.94 | 55 |
| 43.45 | 49 |
| 20.94 | 43 |
| 41.15 | 37 |
| 50.42 | 34 |
| 21.46 | 28 |

***

(4)
Simulated X-ray diffraction stick pattern of Pr5Zr3Ni16As12 for a wavelength of 1.5418 Å, from DFT lattice parameters and positions (PBE).
No peak broadening, texture or thermal motion is included.

Cell and atoms:
```
36
Lattice="12.8871 0.0000 0.0000 -6.4435 11.1606 0.0000 0.0000 0.0000 4.0283" Properties=species:S:1:pos:R:3 pbc="T T T"
Pr -5.2255 9.0509 0.0000
Pr 1.2180 2.1097 0.0000
Pr 0.0000 7.4404 2.0142
Pr 6.4436 3.7202 2.0142
Pr 10.4510 0.0000 0.0000
Zr -2.7616 4.7832 2.0142
Zr 5.5232 0.0000 2.0142
Zr 3.6820 6.3774 2.0142
Ni 0.0000 0.0000 2.0142
Ni -1.7722 3.0696 0.0000
Ni -2.5436 7.0538 0.0000
Ni -0.0313 4.2362 2.0142
Ni -2.7592 9.0695 2.0142
Ni 3.5444 0.0000 0.0000
Ni 1.6066 5.4309 0.0000
Ni 3.6843 2.0910 2.0142
Ni 3.9000 4.1068 0.0000
Ni 0.9370 9.8365 0.0000
Ni 2.7905 9.0153 2.0142
Ni 7.3805 1.3241 0.0000
Ni 4.6713 8.0910 0.0000
Ni 6.4123 6.9243 2.0142
Ni 9.2341 2.1452 2.0142
Ni 8.0502 5.7297 0.0000
As -1.1610 2.0109 2.0142
As -4.0919 7.0874 2.0142
As -0.8333 5.2848 0.0000
As 2.3220 0.0000 2.0142
As -1.4502 9.2398 0.0000
As 2.3516 4.0732 2.0142
As 4.9934 1.9207 0.0000
As 2.2834 7.7965 0.0000
As 8.1838 0.0000 2.0142
As 5.6103 5.8758 0.0000
As 5.2826 9.1497 2.0142
As 8.7270 3.3640 0.0000
```

Principal peaks in the range 2θ from 10° to 90°, by intensity:
| 2theta | I_rel |
| --- | --- |
| 35.68 | 100 |
| 36.61 | 69 |
| 45.01 | 44 |
| 32.77 | 30 |
| 36.91 | 28 |
| 48.97 | 27 |
| 54.99 | 21 |
| 68.69 | 19 |
| 40.41 | 17 |
| 45.24 | 17 |

***

(5)
Simulated X-ray diffraction stick pattern of SmTlCdSn for a wavelength of 1.5418 Å, from DFT lattice parameters and positions (PBE).
No peak broadening, texture or thermal motion is included.

Cell and atoms:
```
4
Lattice="4.5417 0.0000 0.0000 0.0000 4.6840 0.0000 0.0000 0.0000 4.9241" Properties=species:S:1:pos:R:3 pbc="T T T"
Sm 0.0000 0.0000 0.0000
Tl 2.2709 0.0000 2.4620
Cd 0.0000 2.3420 2.4620
Sn 2.2709 2.3420 0.0000
```

Principal peaks in the range 2θ from 10° to 90°, by intensity:
| 2theta | I_rel |
| --- | --- |
| 32.95 | 100 |
| 36.50 | 19 |
| 38.44 | 16 |
| 63.45 | 15 |
| 39.69 | 15 |
| 66.06 | 14 |
| 67.78 | 13 |
| 54.04 | 12 |
| 69.10 | 12 |
| 55.01 | 12 |

***

(6)
Simulated X-ray diffraction stick pattern of CoRePt for a wavelength of 1.5418 Å, from DFT lattice parameters and positions (PBE).
No peak broadening, texture or thermal motion is included.

Cell and atoms:
```
6
Lattice="2.3472 -3.9710 0.0000 2.3472 3.9710 0.0000 -1.6446 0.0000 4.3771" Properties=species:S:1:pos:R:3 pbc="T T T"
Co 1.1138 3.3096 3.2828
Co 1.9361 -3.3096 1.0943
Re 1.9361 2.0666 1.0943
Re 1.1138 -2.0666 3.2828
Pt 1.1138 0.6927 3.2828
Pt 1.9361 -0.6927 1.0943
```

Principal peaks in the range 2θ from 10° to 90°, by intensity:
| 2theta | I_rel |
| --- | --- |
| 41.39 | 100 |
| 48.45 | 64 |
| 41.08 | 52 |
| 41.25 | 51 |
| 47.20 | 36 |
| 30.39 | 24 |
| 23.13 | 22 |
| 69.83 | 21 |
| 70.07 | 21 |
| 83.73 | 20 |

***

(7)
Simulated X-ray diffraction stick pattern of Tm8Co2Ge for a wavelength of 1.5418 Å, from DFT lattice parameters and positions (PBE).
No peak broadening, texture or thermal motion is included.

Cell and atoms:
```
11
Lattice="4.1051 -6.2007 0.0000 4.1051 6.2007 0.0000 -1.4727 0.0000 5.4056" Properties=species:S:1:pos:R:3 pbc="T T T"
Tm 0.0000 0.0000 0.0000
Tm 0.5683 1.6406 3.3197
Tm 2.8584 2.8912 1.1127
Tm 0.5683 -1.6406 3.3197
Tm 3.6310 1.6733 4.3935
Tm 2.8584 -2.8912 1.1127
Tm 3.6310 -1.6733 4.3935
Tm 5.5760 0.0000 2.1481
Co 2.1038 3.8564 3.7903
Co 2.1038 -3.8564 3.7903
Ge 2.9738 0.0000 0.4793
```

Principal peaks in the range 2θ from 10° to 90°, by intensity:
| 2theta | I_rel |
| --- | --- |
| 33.32 | 100 |
| 31.31 | 93 |
| 34.42 | 73 |
| 36.82 | 68 |
| 32.88 | 63 |
| 31.10 | 50 |
| 28.14 | 43 |
| 36.26 | 40 |
| 40.38 | 34 |
| 40.54 | 32 |

***

(8)
Simulated X-ray diffraction stick pattern of Pr5SmPb6 for a wavelength of 1.5418 Å, from DFT lattice parameters and positions (PBE).
No peak broadening, texture or thermal motion is included.

Cell and atoms:
```
12
Lattice="5.0858 0.0000 0.0000 0.0000 9.2759 0.0000 -2.4555 0.0000 7.7567" Properties=species:S:1:pos:R:3 pbc="T T T"
Pr 0.0000 0.0000 0.0000
Pr 0.0586 0.0000 5.1697
Pr 0.0581 4.6379 5.1827
Pr 2.5723 4.6379 2.5740
Pr 2.5718 0.0000 2.5869
Sm 0.0000 4.6379 0.0000
Pb 0.0286 2.3318 2.5712
Pb 0.0286 6.9441 2.5712
Pb 2.5429 2.3330 0.0000
Pb 2.5429 6.9429 0.0000
Pb 2.6017 2.3318 5.1855
Pb 2.6017 6.9441 5.1855
```

Principal peaks in the range 2θ from 10° to 90°, by intensity:
| 2theta | I_rel |
| --- | --- |
| 31.20 | 100 |
| 31.43 | 98 |
| 34.69 | 38 |
| 35.30 | 36 |
| 38.83 | 28 |
| 65.59 | 24 |
| 53.05 | 23 |
| 53.48 | 22 |
| 59.88 | 16 |
| 60.29 | 16 |

***

(9)
Simulated X-ray diffraction stick pattern of RbHg for a wavelength of 1.5418 Å, from DFT lattice parameters and positions (PBE).
No peak broadening, texture or thermal motion is included.

Cell and atoms:
```
8
Lattice="0.0000 5.5332 9.2344 3.4895 0.0000 9.2344 3.4895 5.5332 0.0000" Properties=species:S:1:pos:R:3 pbc="T T T"
Rb 2.6171 0.5237 6.9258
Rb 4.3619 3.2903 11.5430
Rb 2.6171 7.7760 6.9258
Rb 4.3619 10.5426 11.5430
Hg 2.6171 4.1499 5.4168
Hg 2.6171 4.1499 8.4348
Hg 4.3619 6.9165 10.0340
Hg 4.3619 6.9165 13.0520
```

Principal peaks in the range 2θ from 10° to 90°, by intensity:
| 2theta | I_rel |
| --- | --- |
| 27.78 | 100 |
| 15.76 | 95 |
| 28.51 | 60 |
| 33.31 | 57 |
| 27.32 | 56 |
| 51.56 | 35 |
| 37.33 | 33 |
| 36.12 | 30 |
| 30.28 | 27 |
| 46.41 | 25 |

***

(10)
Simulated X-ray diffraction stick pattern of Li4U3FeS8 for a wavelength of 1.5418 Å, from DFT lattice parameters and positions (PBE).
No peak broadening, texture or thermal motion is included.

Cell and atoms:
```
16
Lattice="3.7532 2.1669 6.2580 -3.7532 2.1669 6.2580 0.0000 -4.3339 6.2580" Properties=species:S:1:pos:R:3 pbc="T T T"
Li 0.0000 0.0000 0.0000
Li -1.8766 -1.0835 6.2580
Li -1.8766 1.0835 12.5160
Li 0.0000 2.1669 6.2580
U -3.7532 0.0000 9.3870
U -1.8766 1.0835 3.1290
U 1.8766 1.0835 3.1290
Fe 0.0000 0.0000 9.3870
S 0.0000 0.0000 4.7826
S 0.0000 -2.0896 7.8370
S -1.8097 1.0448 7.8370
S -1.8097 -1.0448 10.9370
S 1.8097 1.0448 7.8370
S 1.8097 -1.0448 10.9370
S 0.0000 2.0896 10.9370
S 0.0000 0.0000 13.9913
```

Principal peaks in the range 2θ from 10° to 90°, by intensity:
| 2theta | I_rel |
| --- | --- |
| 14.15 | 100 |
| 33.54 | 81 |
| 27.86 | 64 |
| 36.56 | 32 |
| 47.80 | 29 |
| 48.51 | 28 |
| 29.07 | 26 |
| 50.80 | 26 |
| 43.76 | 19 |
| 60.26 | 15 |

***

(11)
Simulated X-ray diffraction stick pattern of Bi2Pb2Se for a wavelength of 1.5418 Å, from DFT lattice parameters and positions (PBE).
No peak broadening, texture or thermal motion is included.

Cell and atoms:
```
10
Lattice="8.1866 0.0000 0.0000 0.0000 8.1866 0.0000 0.0000 0.0000 5.0625" Properties=species:S:1:pos:R:3 pbc="T T T"
Bi 1.0527 3.0406 0.0000
Bi 3.0406 7.1339 0.0000
Bi 5.1460 1.0527 0.0000
Bi 7.1339 5.1460 0.0000
Pb 1.4657 5.5590 2.5312
Pb 2.6276 1.4657 2.5312
Pb 5.5590 6.7209 2.5312
Pb 6.7209 2.6276 2.5312
Se 0.0000 0.0000 2.5312
Se 4.0933 4.0933 2.5312
```

Principal peaks in the range 2θ from 10° to 90°, by intensity:
| 2theta | I_rel |
| --- | --- |
| 30.12 | 100 |
| 34.65 | 22 |
| 60.38 | 21 |
| 35.46 | 19 |
| 50.42 | 16 |
| 15.31 | 13 |
| 49.30 | 12 |
| 23.34 | 11 |
| 63.93 | 11 |
| 69.47 | 10 |

***

Q: Which formula does entry 11 have?
A: Bi2Pb2Se